Ge2BiO6: computed powder diffraction line list (Cu Ka), based on DFT lattice parameters and positions (PBE).
Lines closer than 0.1° are merged.

Largest 12 diffraction maxima, by angle, 2θ = 5–70°:
2theta  Rel. int.
12.52  81
18.71  100
21.85  32
27.31  58
27.70  86
29.10  19
32.08  62
32.25  28
32.35  31
36.59  20
37.69  22
51.69  31

Atomic structure:
Unit cell a=10.7037 b=9.6353 c=5.7060 alpha=90.00 beta=103.38 gamma=90.00
Space group P2_1/c (No. 14)
Unique sites:
Ge 0.0251 0.1678 0.1563 x4
Ge 0.4522 0.1777 0.2695 x4
Bi 0.2604 0.6238 0.7630 x4
O 0.0793 0.5063 0.7050 x4
O 0.0909 0.2491 0.4371 x4
O 0.1484 0.6950 0.4034 x4
O 0.3746 0.6948 0.1438 x4
O 0.3922 0.0178 0.1483 x4
O 0.3997 0.1941 0.5435 x4